Record 1
Structure and computed X-ray powder pattern of NdNi2P2 (a cell relaxed with PBE; Cu Kα X-rays).

Structural model:
```
data_NdNi2P2
_chemical_formula_sum 'Nd2 Ni4 P4'
_cell_length_a 3.946
_cell_length_b 3.946
_cell_length_c 9.546
_cell_angle_alpha 90.00
_cell_angle_beta 90.00
_cell_angle_gamma 90.00
_symmetry_space_group_name_H-M 'I 4/m m m'
_symmetry_Int_Tables_number 139
_symmetry_space_group_name_Hall '-I 4 2'
loop_
_atom_site_label
_atom_site_fract_x
_atom_site_fract_y
_atom_site_fract_z
Nd1 0.000 0.000 0.000
Ni1 0.000 0.500 0.250
P1 0.000 0.000 0.373
```

Principal peaks in the range 2θ = 10–80°, by angle:
index  2theta  intensity
1 0 1  24.41  40
1 0 3  36.27  52
1 1 2  37.33  100
0 0 4  37.69  15
2 0 0  46.01  41
1 0 5  53.31  16
2 1 3  59.95  24
2 0 4  60.93  14
1 1 6  67.81  17
3 1 2  79.38  21



Record 2
Structure and computed X-ray powder pattern of Nd3Ni7P5 (a cell relaxed with PBE; Cu Kα X-rays).

Structural model:
```
data_Nd3Ni7P5
_chemical_formula_sum 'Nd12 Ni28 P20'
_cell_length_a 16.555
_cell_length_b 3.923
_cell_length_c 16.577
_cell_angle_alpha 90.00
_cell_angle_beta 119.91
_cell_angle_gamma 90.00
_symmetry_space_group_name_H-M 'P 1 m 1'
_symmetry_Int_Tables_number 6
loop_
_symmetry_equiv_pos_as_xyz
'x,y,z'
'x,-y,z'
loop_
_atom_site_label
_atom_site_fract_x
_atom_site_fract_y
_atom_site_fract_z
Nd1 0.000 0.000 0.000
Nd2 0.030 0.500 0.325
Nd3 0.087 0.500 0.589
Nd4 0.205 0.000 0.940
Nd5 0.262 0.000 0.207
Nd6 0.292 0.500 0.531
Nd7 0.412 0.000 0.885
Nd8 0.470 0.000 0.149
Nd9 0.524 0.000 0.410
Nd10 0.765 0.500 0.118
Nd11 0.821 0.500 0.381
Nd12 0.882 0.500 0.645
Ni1 0.079 0.000 0.212
Ni2 0.092 0.500 0.779
Ni3 0.137 0.000 0.482
Ni4 0.156 0.500 0.049
Ni5 0.200 0.000 0.751
Ni6 0.211 0.500 0.318
Ni7 0.304 0.500 0.723
Ni8 0.342 0.000 0.419
Ni9 0.362 0.500 0.991
Ni10 0.396 0.000 0.691
Ni11 0.420 0.500 0.256
Ni12 0.471 0.500 0.523
Ni13 0.551 0.000 0.827
Ni14 0.578 0.500 0.939
Ni15 0.587 0.000 0.616
Ni16 0.603 0.000 0.068
Ni17 0.633 0.500 0.200
Ni18 0.659 0.000 0.332
Ni19 0.687 0.500 0.463
Ni20 0.720 0.000 0.590
Ni21 0.734 0.500 0.707
Ni22 0.796 0.000 0.855
Ni23 0.822 0.000 0.014
Ni24 0.871 0.000 0.274
Ni25 0.894 0.500 0.839
Ni26 0.930 0.000 0.540
Ni27 0.946 0.500 0.109
Ni28 0.990 0.000 0.807
P1 0.038 0.000 0.694
P2 0.051 0.500 0.894
P3 0.108 0.500 0.156
P4 0.183 0.000 0.374
P5 0.240 0.000 0.637
P6 0.255 0.500 0.836
P7 0.313 0.500 0.099
P8 0.369 0.500 0.361
P9 0.441 0.000 0.579
P10 0.465 0.500 0.783
P11 0.518 0.500 0.042
P12 0.574 0.500 0.303
P13 0.624 0.500 0.563
P14 0.665 0.000 0.970
P15 0.717 0.000 0.227
P16 0.774 0.000 0.488
P17 0.828 0.000 0.744
P18 0.844 0.500 0.947
P19 0.923 0.000 0.170
P20 0.979 0.000 0.432
```

Principal peaks in the range 2θ = 10–80°, by angle:
index  2theta  intensity
5 0 -1  28.50  13
4 1 0  33.85  12
5 1 -2  35.59  21
1 1 4  36.71  100
7 0 -5  39.20  14
2 0 -8  45.56  10
0 2 0  46.28  23
2 1 7  57.57  17
3 2 -9  70.88  12
1 3 4  79.40  10



Record 3
Structure and computed X-ray powder pattern of Nd12Ni6Pb (a cell relaxed with PBE; Cu Kα X-rays).

Structural model:
```
data_Nd12Ni6Pb
_chemical_formula_sum 'Nd24 Ni12 Pb2'
_cell_length_a 10.105
_cell_length_b 10.105
_cell_length_c 10.105
_cell_angle_alpha 90.00
_cell_angle_beta 90.00
_cell_angle_gamma 90.00
_symmetry_space_group_name_H-M 'I m -3'
_symmetry_Int_Tables_number 204
_symmetry_space_group_name_Hall '-I 2 2 3'
loop_
_atom_site_label
_atom_site_fract_x
_atom_site_fract_y
_atom_site_fract_z
Nd1 0.000 0.308 0.186
Ni1 0.000 0.121 0.500
Pb1 0.000 0.000 0.000
```

Principal peaks in the range 2θ = 10–80°, by angle:
index  2theta  intensity
3 0 1  27.92  43
2 2 2  30.65  38
3 1 2  33.17  100
4 0 0  35.54  14
4 3 1  45.79  25
5 3 0  52.83  31
6 0 0  54.48  14
5 2 3  56.11  34
5 3 4  65.29  18
6 5 3  79.33  12



Record 4
Structure and computed X-ray powder pattern of Nd5Si10NiRu3 (a cell relaxed with PBE; Cu Kα X-rays).

Structural model:
```
data_Nd5Si10NiRu3
_chemical_formula_sum 'Nd10 Si20 Ni2 Ru6'
_cell_length_a 4.296
_cell_length_b 4.087
_cell_length_c 41.230
_cell_angle_alpha 90.00
_cell_angle_beta 92.22
_cell_angle_gamma 90.00
_symmetry_space_group_name_H-M 'P 1 m 1'
_symmetry_Int_Tables_number 6
loop_
_symmetry_equiv_pos_as_xyz
'x,y,z'
'x,-y,z'
loop_
_atom_site_label
_atom_site_fract_x
_atom_site_fract_y
_atom_site_fract_z
Nd1 0.000 0.000 0.000
Nd2 0.029 0.500 0.081
Nd3 0.207 0.000 0.402
Nd4 0.249 0.500 0.485
Nd5 0.406 0.000 0.801
Nd6 0.446 0.500 0.882
Nd7 0.624 0.000 0.203
Nd8 0.658 0.500 0.287
Nd9 0.807 0.000 0.602
Nd10 0.848 0.500 0.683
Si1 0.003 0.000 0.142
Si2 0.132 0.500 0.226
Si3 0.151 0.000 0.260
Si4 0.190 0.500 0.347
Si5 0.276 0.000 0.545
Si6 0.319 0.500 0.627
Si7 0.339 0.000 0.661
Si8 0.379 0.500 0.746
Si9 0.475 0.000 0.945
Si10 0.511 0.500 0.023
Si11 0.523 0.000 0.059
Si12 0.655 0.500 0.143
Si13 0.674 0.000 0.346
Si14 0.717 0.500 0.427
Si15 0.740 0.000 0.459
Si16 0.786 0.500 0.546
Si17 0.879 0.000 0.745
Si18 0.918 0.500 0.825
Si19 0.937 0.000 0.860
Si20 0.983 0.500 0.946
Ni1 0.296 0.500 0.572
Ni2 0.699 0.500 0.372
Ru1 0.163 0.000 0.317
Ru2 0.168 0.500 0.167
Ru3 0.367 0.000 0.719
Ru4 0.489 0.000 0.119
Ru5 0.764 0.000 0.517
Ru6 0.963 0.000 0.918
```

Principal peaks in the range 2θ = 10–80°, by angle:
index  2theta  intensity
0 1 5  24.31  27
1 1 2  30.63  48
1 1 -3  30.77  100
1 0 12  34.07  46
1 1 7  34.27  61
1 0 -13  34.53  98
0 1 15  39.53  44
2 0 -1  42.07  42
0 2 0  44.33  40
2 2 -1  62.76  26



Record 5
Structure and computed X-ray powder pattern of Nd4NiS7 (a cell relaxed with PBE; Cu Kα X-rays).

Structural model:
```
data_Nd4NiS7
_chemical_formula_sum 'Nd8 Ni2 S14'
_cell_length_a 9.8076
_cell_length_b 9.8076
_cell_length_c 6.8617
_cell_angle_alpha 90.00
_cell_angle_beta 90.00
_cell_angle_gamma 120.00
_symmetry_space_group_name_H-M 'P 63'
_symmetry_Int_Tables_number 173
loop_
_symmetry_equiv_pos_as_xyz
'x,y,z'
'x-y,x,z+1/2'
'-y,x-y,z'
'-x,-y,z+1/2'
'-x+y,-x,z'
'y,-x+y,z+1/2'
loop_
_atom_site_label
_atom_site_fract_x
_atom_site_fract_y
_atom_site_fract_z
Nd1 0.1577 0.7848 0.0000
Nd2 0.3333 0.6667 0.5452
Ni1 0.0000 0.0000 0.1736
S1 0.0704 0.5132 0.7572
S2 0.0972 0.8751 0.3887
S3 0.3333 0.6667 0.1587
```

Principal peaks in the range 2θ = 10–80°, by angle:
index  2theta  intensity
2 0 0  20.92  11
2 0 1  24.65  100
0 0 2  25.97  16
2 1 1  30.75  11
2 0 2  33.58  38
3 0 1  34.26  17
2 2 0  36.65  39
4 0 1  44.67  17
2 0 3  45.02  30
2 2 2  45.47  17



Record 6
Structure and computed X-ray powder pattern of NdNiSb2 (a cell relaxed with PBE; Cu Kα X-rays).

Structural model:
```
data_NdNiSb2
_chemical_formula_sum 'Nd2 Ni2 Sb4'
_cell_length_a 4.426
_cell_length_b 4.426
_cell_length_c 9.713
_cell_angle_alpha 90.00
_cell_angle_beta 90.00
_cell_angle_gamma 90.00
_symmetry_space_group_name_H-M 'P 4/n m m'
_symmetry_Int_Tables_number 129
loop_
_symmetry_equiv_pos_as_xyz
'x,y,z'
'-x,-y,-z'
'-y+1/2,x,z'
'y+1/2,-x,-z'
'-x+1/2,-y+1/2,z'
'x+1/2,y+1/2,-z'
'y,-x+1/2,z'
'-y,x+1/2,-z'
'x+1/2,-y,-z'
'-x+1/2,y,z'
'-y,-x,-z'
'y,x,z'
'-x,y+1/2,-z'
'x,-y+1/2,z'
'y+1/2,x+1/2,-z'
'-y+1/2,-x+1/2,z'
loop_
_atom_site_label
_atom_site_fract_x
_atom_site_fract_y
_atom_site_fract_z
Nd1 0.250 0.250 0.242
Ni1 0.250 0.750 0.000
Sb1 0.250 0.250 0.868
Sb2 0.250 0.750 0.500
```

Principal peaks in the range 2θ = 10–80°, by angle:
index  2theta  intensity
1 0 2  27.26  17
1 1 1  30.00  25
1 1 2  34.08  100
1 0 3  34.32  39
2 0 0  40.77  53
1 0 5  51.37  16
2 1 3  54.32  21
2 2 0  59.03  18
2 1 5  67.58  19
3 1 2  69.95  24



Record 7
Structure and computed X-ray powder pattern of NdNi2Sb2 (a cell relaxed with PBE; Cu Kα X-rays).

Structural model:
```
data_NdNi2Sb2
_chemical_formula_sum 'Nd2 Ni4 Sb4'
_cell_length_a 4.480
_cell_length_b 4.480
_cell_length_c 10.086
_cell_angle_alpha 90.00
_cell_angle_beta 90.00
_cell_angle_gamma 90.00
_symmetry_space_group_name_H-M 'P 4/n m m'
_symmetry_Int_Tables_number 129
loop_
_symmetry_equiv_pos_as_xyz
'x,y,z'
'-x,-y,-z'
'-y+1/2,x,z'
'y+1/2,-x,-z'
'-x+1/2,-y+1/2,z'
'x+1/2,y+1/2,-z'
'y,-x+1/2,z'
'-y,x+1/2,-z'
'x+1/2,-y,-z'
'-x+1/2,y,z'
'-y,-x,-z'
'y,x,z'
'-x,y+1/2,-z'
'x,-y+1/2,z'
'y+1/2,x+1/2,-z'
'-y+1/2,-x+1/2,z'
loop_
_atom_site_label
_atom_site_fract_x
_atom_site_fract_y
_atom_site_fract_z
Nd1 0.250 0.250 0.239
Ni1 0.250 0.250 0.625
Ni2 0.250 0.750 0.000
Sb1 0.250 0.250 0.874
Sb2 0.250 0.750 0.500
```

Principal peaks in the range 2θ = 10–80°, by angle:
index  2theta  intensity
1 1 0  28.17  9
1 1 2  33.37  100
2 0 0  40.26  43
1 1 4  46.00  12
1 0 5  49.56  13
2 1 3  53.22  21
2 2 0  58.25  14
1 1 6  62.55  9
2 1 5  65.68  11
3 1 2  68.82  19



Record 8
Structure and computed X-ray powder pattern of NdNiSb3 (a cell relaxed with PBE; Cu Kα X-rays).

Structural model:
```
data_NdNiSb3
_chemical_formula_sum 'Nd12 Ni12 Sb36'
_cell_length_a 12.606
_cell_length_b 6.269
_cell_length_c 18.535
_cell_angle_alpha 90.00
_cell_angle_beta 90.00
_cell_angle_gamma 90.00
_symmetry_space_group_name_H-M 'P b c m'
_symmetry_Int_Tables_number 57
loop_
_symmetry_equiv_pos_as_xyz
'x,y,z'
'-x,-y,-z'
'-x,-y,z+1/2'
'x,y,-z+1/2'
'x,-y+1/2,-z'
'-x,y+1/2,z'
'-x,y+1/2,-z+1/2'
'x,-y+1/2,z+1/2'
loop_
_atom_site_label
_atom_site_fract_x
_atom_site_fract_y
_atom_site_fract_z
Nd1 0.194 0.060 0.250
Nd2 0.200 0.528 0.084
Ni1 0.397 0.250 0.000
Ni2 0.400 0.673 0.676
Sb1 0.004 0.250 0.000
Sb2 0.004 0.704 0.666
Sb3 0.274 0.026 0.084
Sb4 0.277 0.555 0.250
Sb5 0.443 0.184 0.250
Sb6 0.474 0.541 0.087
```

Principal peaks in the range 2θ = 10–80°, by angle:
index  2theta  intensity
4 0 0  28.32  46
0 0 6  28.90  29
1 0 6  29.78  33
2 2 0  31.89  69
2 0 6  32.27  72
4 1 3  35.02  100
3 2 0  35.74  34
3 0 6  36.08  70
0 2 6  41.02  82
4 2 6  50.60  31